[1]
The following is a simulated powder XRD pattern of Pr2ErMg3Ir3. It was derived from a cell relaxed with GGA-PBE, using copper Kα.

Atomic structure:
```
data_Pr2ErMg3Ir3
_chemical_formula_sum 'Pr4 Er2 Mg6 Ir6'
_space_group_name_H-M_alt 'A m m 2'
_space_group_IT_number 38
_cell_length_a 4.1303
_cell_length_b 12.7344
_cell_length_c 7.3814
_cell_angle_alpha 90.00
_cell_angle_beta 90.00
_cell_angle_gamma 90.00
loop_
_space_group_symop_operation_xyz
'x,y,z'
'-x,-y,z'
'-x,y,z'
'x,-y,z'
'x,y+1/2,z+1/2'
'-x,-y+1/2,z+1/2'
'-x,y+1/2,z+1/2'
'x,-y+1/2,z+1/2'
loop_
_atom_site_label
_atom_site_fract_x
_atom_site_fract_y
_atom_site_fract_z
Pr1 0.0000 0.2066 0.0000
Er1 0.0000 0.0000 0.6129
Mg1 0.5000 0.0000 0.9640
Mg2 0.5000 0.1197 0.3303
Ir1 0.0000 0.0000 0.2150
Ir2 0.5000 0.1593 0.7047
```

Largest 10 diffraction maxima, by angle, 2θ from 10° to 90°:
hkl 0 0 2, d 3.683, I = 53; hkl 1 1 1, d 3.467, I = 30; hkl 1 3 1, d 2.749, I = 66; hkl 1 4 0, d 2.524, I = 100; hkl 0 3 3, d 2.129, I = 26; hkl 1 4 2, d 2.084, I = 32; hkl 2 0 0, d 2.065, I = 24; hkl 2 0 2, d 1.801, I = 15; hkl 2 3 3, d 1.482, I = 16; hkl 1 7 3, d 1.379, I = 16

---

[2]
The following is a simulated powder XRD pattern of Y2ErMg3Ir3. It was derived from a cell relaxed with GGA-PBE, using copper Kα.

Atomic structure:
```
data_Y2ErMg3Ir3
_chemical_formula_sum 'Y4 Er2 Mg6 Ir6'
_space_group_name_H-M_alt 'A m m 2'
_space_group_IT_number 38
_cell_length_a 4.0471
_cell_length_b 12.5453
_cell_length_c 7.2685
_cell_angle_alpha 90.00
_cell_angle_beta 90.00
_cell_angle_gamma 90.00
loop_
_space_group_symop_operation_xyz
'x,y,z'
'-x,-y,z'
'-x,y,z'
'x,-y,z'
'x,y+1/2,z+1/2'
'-x,-y+1/2,z+1/2'
'-x,y+1/2,z+1/2'
'x,-y+1/2,z+1/2'
loop_
_atom_site_label
_atom_site_fract_x
_atom_site_fract_y
_atom_site_fract_z
Y1 0.0000 0.2047 0.0000
Er1 0.0000 0.0000 0.3880
Mg1 0.5000 0.0000 0.0396
Mg2 0.5000 0.1229 0.6727
Ir1 0.0000 0.0000 0.7923
Ir2 0.5000 0.1643 0.2962
```

Largest 10 diffraction maxima, by angle, 2θ from 10° to 90°:
hkl 0 0 2, d 3.629, I = 68; hkl 1 2 0, d 3.402, I = 47; hkl 1 3 1, d 2.701, I = 59; hkl 1 4 0, d 2.482, I = 100; hkl 0 3 3, d 2.096, I = 28; hkl 1 4 2, d 2.049, I = 39; hkl 2 0 0, d 2.024, I = 24; hkl 2 0 2, d 1.767, I = 19; hkl 2 6 0, d 1.455, I = 28; hkl 1 7 3, d 1.357, I = 17

---

[3]
The following is a simulated powder XRD pattern of ErSi2NiIr. It was derived from a cell relaxed with GGA-PBE, using copper Kα.

Atomic structure:
```
data_ErSi2NiIr
_chemical_formula_sum 'Er2 Si4 Ni2 Ir2'
_space_group_name_H-M_alt 'I -4 m 2'
_space_group_IT_number 119
_space_group_name_Hall 'I -4 -2'
_cell_length_a 3.9739
_cell_length_b 3.9739
_cell_length_c 9.9072
_cell_angle_alpha 90.00
_cell_angle_beta 90.00
_cell_angle_gamma 90.00
loop_
_atom_site_label
_atom_site_fract_x
_atom_site_fract_y
_atom_site_fract_z
Er1 0.0000 0.0000 0.0000
Si1 0.0000 0.0000 0.3803
Ni1 0.0000 0.5000 0.7500
Ir1 0.0000 0.5000 0.2500
```

Largest 10 diffraction maxima, by angle, 2θ from 10° to 90°:
hkl 1 0 1, d 3.688, I = 49; hkl 1 0 3, d 2.540, I = 35; hkl 0 0 4, d 2.477, I = 19; hkl 1 1 2, d 2.444, I = 100; hkl 2 0 0, d 1.987, I = 34; hkl 2 1 1, d 1.749, I = 13; hkl 2 1 3, d 1.565, I = 16; hkl 2 0 4, d 1.550, I = 18; hkl 1 1 6, d 1.424, I = 17; hkl 3 1 2, d 1.218, I = 22

---

[4]
The following is a simulated powder XRD pattern of Er2TmZn3Ir2Pt. It was derived from a cell relaxed with GGA-PBE, using copper Kα.

Atomic structure:
```
data_Er2TmZn3Ir2Pt
_chemical_formula_sum 'Er4 Tm2 Zn6 Ir4 Pt2'
_space_group_name_H-M_alt 'A m m 2'
_space_group_IT_number 38
_cell_length_a 3.8589
_cell_length_b 12.3551
_cell_length_c 7.1484
_cell_angle_alpha 90.00
_cell_angle_beta 90.00
_cell_angle_gamma 90.00
loop_
_space_group_symop_operation_xyz
'x,y,z'
'-x,-y,z'
'-x,y,z'
'x,-y,z'
'x,y+1/2,z+1/2'
'-x,-y+1/2,z+1/2'
'-x,y+1/2,z+1/2'
'x,-y+1/2,z+1/2'
loop_
_atom_site_label
_atom_site_fract_x
_atom_site_fract_y
_atom_site_fract_z
Er1 0.0000 0.2035 0.0000
Tm1 0.0000 0.0000 0.6096
Zn1 0.5000 0.0000 0.9483
Zn2 0.5000 0.1278 0.3313
Ir1 0.5000 0.1659 0.7032
Pt1 0.0000 0.0000 0.2044
```

Largest 10 diffraction maxima, by angle, 2θ from 10° to 90°:
hkl 0 0 2, d 3.570, I = 29; hkl 1 1 1, d 3.274, I = 17; hkl 1 3 1, d 2.621, I = 77; hkl 1 4 0, d 2.413, I = 100; hkl 0 1 3, d 2.337, I = 23; hkl 0 6 0, d 2.061, I = 44; hkl 1 4 2, d 1.999, I = 35; hkl 2 0 0, d 1.929, I = 25; hkl 2 6 0, d 1.409, I = 26; hkl 1 7 3, d 1.332, I = 20

---

[5]
The following is a simulated powder XRD pattern of Er5Si10Ir4. It was derived from a cell relaxed with GGA-PBE, using copper Kα.

Atomic structure:
```
data_Er5Si10Ir4
_chemical_formula_sum 'Er10 Si20 Ir8'
_space_group_name_H-M_alt 'P 4/m b m'
_space_group_IT_number 127
_space_group_name_Hall '-P 4 2ab'
_cell_length_a 12.6080
_cell_length_b 12.6080
_cell_length_c 4.2370
_cell_angle_alpha 90.00
_cell_angle_beta 90.00
_cell_angle_gamma 90.00
loop_
_atom_site_label
_atom_site_fract_x
_atom_site_fract_y
_atom_site_fract_z
Er1 0.0000 0.0000 0.0000
Er2 0.1152 0.3848 0.5000
Er3 0.1748 0.6748 0.5000
Si1 0.0026 0.8440 0.5000
Si2 0.0662 0.5662 0.0000
Si3 0.1644 0.2009 0.0000
Ir1 0.0196 0.7548 0.0000
```

Largest 10 diffraction maxima, by angle, 2θ from 10° to 90°:
hkl 2 2 0, d 4.458, I = 23; hkl 3 1 0, d 3.987, I = 24; hkl 1 1 1, d 3.827, I = 22; hkl 2 2 1, d 3.071, I = 34; hkl 4 0 1, d 2.529, I = 100; hkl 4 1 1, d 2.480, I = 34; hkl 3 3 1, d 2.433, I = 30; hkl 4 4 0, d 2.229, I = 25; hkl 0 0 2, d 2.119, I = 33; hkl 5 4 0, d 1.971, I = 19

---

[6]
The following is a simulated powder XRD pattern of ErSi2Ir. It was derived from a cell relaxed with GGA-PBE, using copper Kα.

Atomic structure:
```
data_ErSi2Ir
_chemical_formula_sum 'Er2 Si4 Ir2'
_space_group_name_H-M_alt 'P m m n'
_space_group_IT_number 59
_cell_length_a 4.0517
_cell_length_b 6.3625
_cell_length_c 5.4424
_cell_angle_alpha 90.00
_cell_angle_beta 90.00
_cell_angle_gamma 90.00
loop_
_space_group_symop_operation_xyz
'x,y,z'
'-x,-y,-z'
'-x+1/2,-y+1/2,z'
'x+1/2,y+1/2,-z'
'x+1/2,-y,-z'
'-x+1/2,y,z'
'-x,y+1/2,-z'
'x,-y+1/2,z'
loop_
_atom_site_label
_atom_site_fract_x
_atom_site_fract_y
_atom_site_fract_z
Er1 0.2500 0.2500 0.1289
Si1 0.2500 0.0338 0.6612
Ir1 0.2500 0.7500 0.3647
```

Largest 10 diffraction maxima, by angle, 2θ from 10° to 90°:
hkl 1 0 1, d 3.250, I = 56; hkl 0 2 0, d 3.181, I = 54; hkl 1 1 1, d 2.894, I = 100; hkl 0 1 2, d 2.502, I = 82; hkl 1 2 1, d 2.273, I = 89; hkl 2 0 0, d 2.026, I = 29; hkl 1 3 1, d 1.776, I = 30; hkl 0 3 2, d 1.673, I = 20; hkl 1 1 3, d 1.602, I = 24; hkl 2 1 2, d 1.574, I = 40

---

[7]
The following is a simulated powder XRD pattern of ErTmSi2Ir. It was derived from a cell relaxed with GGA-PBE, using copper Kα.

Atomic structure:
```
data_ErTmSi2Ir
_chemical_formula_sum 'Er4 Tm4 Si8 Ir4'
_space_group_name_H-M_alt 'C 1 2/m 1'
_space_group_IT_number 12
_cell_length_a 10.4628
_cell_length_b 4.1926
_cell_length_c 9.9231
_cell_angle_alpha 90.00
_cell_angle_beta 118.66
_cell_angle_gamma 90.00
loop_
_space_group_symop_operation_xyz
'x,y,z'
'-x,-y,-z'
'-x,y,-z'
'x,-y,z'
'x+1/2,y+1/2,z'
'-x+1/2,-y+1/2,-z'
'-x+1/2,y+1/2,-z'
'x+1/2,-y+1/2,z'
loop_
_atom_site_label
_atom_site_fract_x
_atom_site_fract_y
_atom_site_fract_z
Er1 0.1846 0.0000 0.1087
Tm1 0.0048 0.0000 0.6770
Si1 0.0128 0.5000 0.8777
Si2 0.1392 0.5000 0.5649
Ir1 0.2267 0.5000 0.3714
```

Largest 10 diffraction maxima, by angle, 2θ from 10° to 90°:
hkl 0 0 1, d 8.707, I = 32; hkl 1 1 0, d 3.814, I = 36; hkl 1 1 -2, d 3.202, I = 47; hkl 3 1 -2, d 2.631, I = 63; hkl 1 1 2, d 2.621, I = 100; hkl 4 0 -1, d 2.540, I = 30; hkl 3 1 -3, d 2.395, I = 66; hkl 0 0 4, d 2.177, I = 28; hkl 3 1 1, d 2.167, I = 46; hkl 0 2 0, d 2.096, I = 49

---

[8]
The following is a simulated powder XRD pattern of Er7Te2Ir2. It was derived from a cell relaxed with GGA-PBE, using copper Kα.

Atomic structure:
```
data_Er7Te2Ir2
_chemical_formula_sum 'Er14 Te4 Ir4'
_space_group_name_H-M_alt 'I m m 2'
_space_group_IT_number 44
_cell_length_a 3.9019
_cell_length_b 15.5978
_cell_length_c 9.4091
_cell_angle_alpha 90.00
_cell_angle_beta 90.00
_cell_angle_gamma 90.00
loop_
_space_group_symop_operation_xyz
'x,y,z'
'-x,-y,z'
'-x,y,z'
'x,-y,z'
'x+1/2,y+1/2,z+1/2'
'-x+1/2,-y+1/2,z+1/2'
'-x+1/2,y+1/2,z+1/2'
'x+1/2,-y+1/2,z+1/2'
loop_
_atom_site_label
_atom_site_fract_x
_atom_site_fract_y
_atom_site_fract_z
Er1 0.0000 0.0000 0.0000
Er2 0.0000 0.1318 0.4176
Er3 0.0000 0.3154 0.6278
Er4 0.0000 0.3537 0.2688
Te1 0.0000 0.0000 0.6631
Te2 0.0000 0.5000 0.7642
Ir1 0.0000 0.2377 0.9281
```

Largest 10 diffraction maxima, by angle, 2θ from 10° to 90°:
hkl 0 2 0, d 7.799, I = 23; hkl 0 5 1, d 2.961, I = 18; hkl 1 1 2, d 2.949, I = 37; hkl 0 3 3, d 2.686, I = 44; hkl 1 4 1, d 2.647, I = 100; hkl 1 3 2, d 2.600, I = 47; hkl 1 0 3, d 2.445, I = 22; hkl 1 2 3, d 2.333, I = 26; hkl 2 0 0, d 1.951, I = 32; hkl 2 3 3, d 1.578, I = 18

---

[9]
The following is a simulated powder XRD pattern of Y3Er3Te2Ir. It was derived from a cell relaxed with GGA-PBE, using copper Kα.

Atomic structure:
```
data_Y3Er3Te2Ir
_chemical_formula_sum 'Y3 Er3 Te2 Ir1'
_space_group_name_H-M_alt 'P -6 2 m'
_space_group_IT_number 189
_space_group_name_Hall 'P -6 -2'
_cell_length_a 8.3086
_cell_length_b 8.3086
_cell_length_c 3.9935
_cell_angle_alpha 90.00
_cell_angle_beta 90.00
_cell_angle_gamma 120.00
loop_
_atom_site_label
_atom_site_fract_x
_atom_site_fract_y
_atom_site_fract_z
Y1 0.0000 0.3961 0.0000
Er1 0.0000 0.7606 0.5000
Te1 0.3333 0.6667 0.5000
Ir1 0.0000 0.0000 0.0000
```

Largest 10 diffraction maxima, by angle, 2θ from 10° to 90°:
hkl 1 0 0, d 7.195, I = 53; hkl 1 1 1, d 2.879, I = 84; hkl 2 1 0, d 2.720, I = 65; hkl 2 0 1, d 2.673, I = 100; hkl 3 0 0, d 2.398, I = 47; hkl 2 1 1, d 2.248, I = 94; hkl 0 0 2, d 1.997, I = 31; hkl 2 1 2, d 1.610, I = 27; hkl 3 0 2, d 1.535, I = 24; hkl 3 2 1, d 1.526, I = 43

---

[10]
The following is a simulated powder XRD pattern of Er2Tm2Ir3. It was derived from a cell relaxed with GGA-PBE, using copper Kα.

Atomic structure:
```
data_Er2Tm2Ir3
_chemical_formula_sum 'Er4 Tm4 Ir6'
_space_group_name_H-M_alt 'C 1 2/m 1'
_space_group_IT_number 12
_cell_length_a 8.2138
_cell_length_b 4.7441
_cell_length_c 8.2761
_cell_angle_alpha 90.00
_cell_angle_beta 109.38
_cell_angle_gamma 90.00
loop_
_space_group_symop_operation_xyz
'x,y,z'
'-x,-y,-z'
'-x,y,-z'
'x,-y,z'
'x+1/2,y+1/2,z'
'-x+1/2,-y+1/2,-z'
'-x+1/2,y+1/2,-z'
'x+1/2,-y+1/2,z'
loop_
_atom_site_label
_atom_site_fract_x
_atom_site_fract_y
_atom_site_fract_z
Er1 0.1255 0.0000 0.3763
Tm1 0.1238 0.5000 0.8719
Ir1 0.0000 0.0000 0.0000
Ir2 0.2502 0.0000 0.7509
```

Largest 10 diffraction maxima, by angle, 2θ from 10° to 90°:
hkl 0 0 1, d 7.807, I = 13; hkl 2 0 -1, d 4.046, I = 9; hkl 2 0 2, d 2.384, I = 100; hkl 0 2 0, d 2.372, I = 99; hkl 2 2 2, d 1.681, I = 35; hkl 1 1 5, d 1.379, I = 18; hkl 5 1 1, d 1.372, I = 36; hkl 6 0 -2, d 1.369, I = 18; hkl 4 0 4, d 1.192, I = 11; hkl 0 4 0, d 1.186, I = 11

---

[11]
The following is a simulated powder XRD pattern of ErUIr. It was derived from a cell relaxed with GGA-PBE, using copper Kα.

Atomic structure:
```
data_ErUIr
_chemical_formula_sum 'Er4 U4 Ir4'
_space_group_name_H-M_alt 'F -4 3 m'
_space_group_IT_number 216
_space_group_name_Hall 'F -4 2 3'
_cell_length_a 6.7010
_cell_length_b 6.7010
_cell_length_c 6.7010
_cell_angle_alpha 90.00
_cell_angle_beta 90.00
_cell_angle_gamma 90.00
loop_
_atom_site_label
_atom_site_fract_x
_atom_site_fract_y
_atom_site_fract_z
Er1 0.0000 0.0000 0.0000
U1 0.0000 0.0000 0.5000
Ir1 0.2500 0.2500 0.2500
```

Largest 10 diffraction maxima, by angle, 2θ from 10° to 90°:
hkl 1 1 1, d 3.869, I = 28; hkl 2 0 0, d 3.351, I = 15; hkl 2 2 0, d 2.369, I = 100; hkl 3 1 1, d 2.020, I = 15; hkl 4 0 0, d 1.675, I = 18; hkl 3 3 1, d 1.537, I = 6; hkl 4 2 0, d 1.498, I = 6; hkl 4 2 2, d 1.368, I = 37; hkl 4 4 0, d 1.185, I = 12; hkl 5 3 1, d 1.133, I = 5

---

[12]
The following is a simulated powder XRD pattern of YErIr. It was derived from a cell relaxed with GGA-PBE, using copper Kα.

Atomic structure:
```
data_YErIr
_chemical_formula_sum 'Y4 Er4 Ir4'
_space_group_name_H-M_alt 'P n m a'
_space_group_IT_number 62
_cell_length_a 7.1813
_cell_length_b 4.5914
_cell_length_c 8.7907
_cell_angle_alpha 90.00
_cell_angle_beta 90.00
_cell_angle_gamma 90.00
loop_
_space_group_symop_operation_xyz
'x,y,z'
'-x,-y,-z'
'-x+1/2,-y,z+1/2'
'x+1/2,y,-z+1/2'
'x+1/2,-y+1/2,-z+1/2'
'-x+1/2,y+1/2,z+1/2'
'-x,y+1/2,-z'
'x,-y+1/2,z'
loop_
_atom_site_label
_atom_site_fract_x
_atom_site_fract_y
_atom_site_fract_z
Y1 0.1418 0.2500 0.0822
Er1 0.0086 0.2500 0.6605
Ir1 0.2381 0.2500 0.4065
```

Largest 10 diffraction maxima, by angle, 2θ from 10° to 90°:
hkl 1 1 1, d 3.541, I = 31; hkl 1 1 2, d 2.904, I = 66; hkl 1 0 3, d 2.713, I = 23; hkl 2 1 1, d 2.692, I = 100; hkl 0 1 3, d 2.470, I = 41; hkl 0 2 0, d 2.296, I = 50; hkl 3 0 2, d 2.102, I = 23; hkl 3 1 1, d 2.063, I = 22; hkl 2 1 3, d 2.035, I = 36; hkl 5 1 1, d 1.354, I = 21

---

[13]
The following is a simulated powder XRD pattern of KEr. It was derived from a cell relaxed with GGA-PBE, using copper Kα.

Atomic structure:
```
data_KEr
_chemical_formula_sum 'K1 Er1'
_space_group_name_H-M_alt 'P -6 m 2'
_space_group_IT_number 187
_space_group_name_Hall 'P -6 2'
_cell_length_a 3.6202
_cell_length_b 3.6202
_cell_length_c 7.1422
_cell_angle_alpha 90.00
_cell_angle_beta 90.00
_cell_angle_gamma 120.00
loop_
_atom_site_label
_atom_site_fract_x
_atom_site_fract_y
_atom_site_fract_z
K1 0.0000 0.0000 0.0000
Er1 0.3333 0.6667 0.5000
```

Largest 10 diffraction maxima, by angle, 2θ from 10° to 90°:
hkl 0 0 1, d 7.142, I = 59; hkl 0 0 2, d 3.571, I = 35; hkl 1 0 0, d 3.135, I = 39; hkl 1 0 1, d 2.871, I = 100; hkl 1 0 2, d 2.356, I = 36; hkl 1 0 3, d 1.896, I = 30; hkl 1 1 0, d 1.810, I = 15; hkl 1 1 2, d 1.615, I = 21; hkl 2 0 1, d 1.531, I = 15; hkl 2 1 1, d 1.169, I = 12